# WO3
Simulated powder XRD pattern, Cu Ka. Input: a PBE+U-relaxed structure.

Crystal structure
```
data_WO3
_cell_length_a 7.676
_cell_length_b 3.886
_cell_length_c 3.868
_cell_angle_alpha 90.00
_cell_angle_beta 90.00
_cell_angle_gamma 90.00
_symmetry_space_group_name_H-M 'P 1'
_symmetry_Int_Tables_number 1
_symmetry_space_group_name_Hall 'P 1'
loop_
_atom_site_label
_atom_site_fract_x
_atom_site_fract_y
_atom_site_fract_z
W1 0.250 0.000 0.033
W2 0.750 0.000 0.967
O1 0.000 0.000 0.000
O2 0.250 0.000 0.513
O3 0.250 0.500 0.007
O4 0.500 0.000 0.000
O5 0.750 0.000 0.487
O6 0.750 0.500 0.993
```

Most intense lines, 10 to 80 degrees two-theta, by intensity:
| 2theta | d/Å | I_rel | hkl |
| --- | --- | --- | --- |
| 32.8 | 2.727 | 100 | 2 1 0 |
| 22.9 | 3.886 | 94 | 0 1 0 |
| 23.2 | 3.838 | 91 | 2 0 0 |
| 23.0 | 3.868 | 89 | 0 0 1 |
| 32.7 | 2.741 | 50 | 0 1 1 |
| 52.8 | 1.735 | 38 | 2 2 0 |
| 53.3 | 1.720 | 37 | 4 1 0 |
| 40.4 | 2.231 | 36 | 2 1 1 |
| 58.3 | 1.582 | 20 | 2 2 1 |
| 58.7 | 1.572 | 20 | 4 1 1 |